Diffraction record for LaZn2PIr2. The X-ray diffraction stick pattern is calculated, not measured: it uses a cell relaxed with GGA-PBE and Cu Kα, 1.54184 Å.
Intensities are scaled so that the largest is 1000.

Structure:
Cell lengths 4.511, 4.511, 5.678 Å; angles 90.00, 90.00, 90.00 degrees
Fractional positions:
1 La 0.000 0.000 0.000
2 Zn 0.500 0.500 0.229
3 Zn 0.500 0.500 0.771
4 P 0.000 0.000 0.500
5 Ir 0.000 0.500 0.500
6 Ir 0.500 0.000 0.500

Top 8 peaks for 2θ from 10° to 90°, by angle:
2θ (°)  I/Imax  hkl
15.6  364  0 0 1
32.2  1000  1 1 1
37.4  247  1 0 2
40.0  523  2 0 0
42.6  226  1 1 2
51.8  176  2 0 2
57.8  176  2 2 0
67.7  240  3 1 1